CaTiP: simulated X-ray powder pattern (Cu Kα X-rays), based on a GGA-PBE-relaxed structure.
Lines closer than 0.1° are merged.

Largest 10 diffraction maxima, sorted by position, 2θ = 10–90°:
| index | 2θ/deg | d (Å) | I_rel |
| --- | --- | --- | --- |
| 0 0 1 | 11.5 | 7.704 | 61 |
| 1 0 2 | 32.5 | 2.753 | 51 |
| 1 1 1 | 34.3 | 2.618 | 79 |
| 0 0 3 | 34.9 | 2.568 | 24 |
| 1 1 2 | 40.0 | 2.256 | 100 |
| 2 0 0 | 46.1 | 1.968 | 53 |
| 2 1 2 | 57.6 | 1.601 | 17 |
| 2 0 3 | 59.1 | 1.562 | 18 |
| 2 2 0 | 67.3 | 1.392 | 16 |
| 3 1 2 | 81.2 | 1.184 | 22 |

Atomic structure:
Cell lengths 3.9361, 3.9361, 7.7038 Å; angles 90.00, 90.00, 90.00 degrees
Element x y z (fractional)
Ca1 0.2500 0.2500 0.1574
Ca2 0.7500 0.7500 0.8426
Ti1 0.2500 0.7500 0.5000
Ti2 0.7500 0.2500 0.5000
P1 0.2500 0.2500 0.7237
P2 0.7500 0.7500 0.2763